No. 1
Starting from a crystal structure in Alexandria, relaxed with PBE, the powder X-ray diffraction pattern of Ag5Os3 was calculated for Cu Ka.
Lines closer than 0.1° are merged.

The 6 most intense peaks (2θ = 15–90°), sorted by position:
2θ/deg, d/Å, I (rel.)
36.77, 2.445, 100
37.52, 2.397, 44
39.25, 2.296, 45
40.90, 2.206, 88
42.19, 2.142, 62
42.51, 2.126, 53

Atomic structure:
```
Ag5Os3
1.0
2.7034 -9.7781 0.0000
2.7034 9.7781 0.0000
-0.0520 0.0000 4.9448
Ag Os
10 6
Cartesian
0.0000 0.0000 0.0000
2.6483 7.4096 1.6644
1.3265 2.4546 4.0870
2.6543 2.4625 1.6263
1.3265 -2.4546 4.0870
2.7059 0.0000 0.0134
2.6543 -2.4625 1.6263
4.0400 2.4868 4.1128
2.6483 -7.4096 1.6644
4.0400 -2.4868 4.1128
1.4302 0.0000 2.4779
2.8163 4.8337 3.1999
3.8171 4.9859 0.7499
3.9142 0.0000 2.4992
2.8163 -4.8337 3.1999
3.8171 -4.9859 0.7499
```

---

No. 2
Starting from a crystal structure in Alexandria, relaxed with PBE, the powder X-ray diffraction pattern of Dy4SbRu was calculated for Cu Ka.
Lines closer than 0.1° are merged.

The 6 most intense peaks (2θ = 15–90°), sorted by position:
2θ/deg, d/Å, I (rel.)
30.73, 2.909, 100
31.00, 2.884, 42
31.97, 2.799, 37
33.73, 2.657, 35
34.15, 2.625, 74
43.78, 2.068, 40

Atomic structure:
```
Dy4SbRu
1.0
8.0507 0.0000 0.0000
0.0000 4.1352 0.0000
0.0000 0.0000 19.0161
Dy Sb Ru
16 4 4
Cartesian
0.0249 1.0338 1.2755
0.3402 1.0338 14.9304
1.1083 1.0338 6.7990
1.1488 1.0338 10.4678
2.8765 3.1014 0.9597
2.9170 3.1014 16.3070
3.6852 3.1014 5.4223
4.0004 3.1014 10.7836
4.0503 1.0338 8.2325
4.3655 1.0338 13.5938
5.1337 1.0338 2.7091
5.1742 1.0338 18.0564
6.9018 3.1014 8.5483
6.9423 3.1014 12.2172
7.7105 3.1014 4.0858
8.0257 3.1014 17.7406
1.9495 3.1014 13.1567
2.0758 1.0338 3.6486
5.9749 3.1014 15.3675
6.1012 1.0338 5.8595
2.0070 1.0338 18.0368
2.0183 3.1014 8.5288
6.0324 1.0338 10.4874
6.0437 3.1014 0.9793
```